[1]
This entry pairs a crystal structure of CuTe8 with its calculated X-ray powder pattern. Radiation: Cu Kα. Structure: a cell relaxed with GGA-PBE.

Main lines, low angle first (5° ≤ 2θ ≤ 70°):
Position (°2θ), I_rel, (hkl)
23.31, 14, 2 0 0
30.68, 39, 1 1 1
31.00, 65, 2 1 0
32.90, 100, 2 0 1
38.89, 29, 2 1 1
40.96, 20, 2 2 0
46.77, 17, 0 0 2
57.18, 23, 2 1 2
60.48, 23, 4 1 1
69.52, 17, 4 2 1

Atomic structure:
a b c (Å): 8.8129 8.8129 3.8845
angles (deg): 90.00 90.00 120.00
Space group P-62m (No. 189)
One atom of each set of equivalent atoms:
Cu: 0.0000 0.0000 0.0000 [1 per cell]
Te: 0.0000 0.2061 0.5000 [3 per cell]
Te: 0.0000 0.5247 0.0000 [3 per cell]
Te: 0.3333 0.6667 0.5000 [2 per cell]

[2]
This entry pairs a crystal structure of HgTePd with its calculated X-ray powder pattern. Radiation: Cu Kα. Structure: a cell relaxed with GGA-PBE.

Main lines, low angle first (5° ≤ 2θ ≤ 70°):
Position (°2θ), I_rel, (hkl)
23.37, 23, 1 1 1
27.05, 31, 2 0 0
38.62, 100, 2 2 0
45.63, 12, 3 1 1
47.79, 9, 2 2 2
55.77, 17, 4 0 0
61.28, 5, 3 3 1
63.05, 12, 4 2 0
69.89, 35, 4 2 2

Atomic structure:
a b c (Å): 6.593 6.593 6.593
angles (deg): 90.00 90.00 90.00
Space group F-43m (No. 216)
One atom of each set of equivalent atoms:
Hg: 0.000 0.000 0.000 [4 per cell]
Te: 0.000 0.000 0.500 [4 per cell]
Pd: 0.250 0.250 0.250 [4 per cell]

[3]
This entry pairs a crystal structure of TbYAl2Br2 with its calculated X-ray powder pattern. Radiation: Cu Kα. Structure: a cell relaxed with GGA-PBE.

Main lines, low angle first (5° ≤ 2θ ≤ 70°):
Position (°2θ), I_rel, (hkl)
7.87, 36, 0 0 1
15.78, 36, 0 0 2
24.39, 20, 1 0 0
25.67, 55, 1 0 1
29.19, 63, 1 0 2
34.32, 100, 1 0 3
42.93, 50, 1 1 0
47.54, 27, 0 1 5
56.08, 24, 0 2 3
66.87, 19, 1 1 6

Atomic structure:
a b c (Å): 4.2134 4.2134 11.2287
angles (deg): 90.00 90.00 120.00
Space group P3m1 (No. 156)
One atom of each set of equivalent atoms:
Tb: 0.0000 0.0000 0.0000 [1 per cell]
Y: 0.0000 0.0000 0.6302 [1 per cell]
Al: 0.3333 0.6667 0.8350 [1 per cell]
Al: 0.6667 0.3333 0.7954 [1 per cell]
Br: 0.3333 0.6667 0.4767 [1 per cell]
Br: 0.6667 0.3333 0.1543 [1 per cell]

[4]
This entry pairs a crystal structure of Gd2Si2O7 with its calculated X-ray powder pattern. Radiation: Cu Kα. Structure: a cell relaxed with GGA-PBE.

Main lines, low angle first (5° ≤ 2θ ≤ 70°):
Position (°2θ), I_rel, (hkl)
15.11, 67, 1 0 1
20.14, 29, 1 1 1
27.65, 59, 2 0 1
29.32, 58, 0 0 4
30.77, 33, 2 1 1
33.36, 100, 2 1 2
34.74, 26, 2 0 3
39.34, 22, 1 0 5
49.70, 31, 3 2 1
54.61, 34, 2 1 6

Atomic structure:
a b c (Å): 6.690 6.690 12.186
angles (deg): 90.00 90.00 90.00
Space group P4_12_12 (No. 92)
One atom of each set of equivalent atoms:
Gd: 0.123 0.349 0.116 [8 per cell]
Si: 0.098 0.155 0.626 [8 per cell]
O: 0.023 0.067 0.878 [8 per cell]
O: 0.051 0.665 0.174 [8 per cell]
O: 0.138 0.300 0.300 [8 per cell]
O: 0.188 0.188 0.500 [4 per cell]

[5]
This entry pairs a crystal structure of Ga3Mo4W2C3 with its calculated X-ray powder pattern. Radiation: Cu Kα. Structure: a cell relaxed with GGA-PBE.

Main lines, low angle first (5° ≤ 2θ ≤ 70°):
Position (°2θ), I_rel, (hkl)
13.44, 8, 0 0 2
19.36, 5, 1 1 0
19.75, 3, 2 0 0
27.07, 3, 0 0 4
33.62, 23, 3 1 -1
34.32, 5, 3 1 -2
39.55, 100, 0 2 3
41.10, 18, 0 0 6
54.11, 14, 3 1 5
60.13, 23, 6 0 -2

Atomic structure:
a b c (Å): 9.235 5.330 13.533
angles (deg): 90.00 103.18 90.00
Space group C2/c (No. 15)
One atom of each set of equivalent atoms:
Ga: 0.000 0.087 0.250 [4 per cell]
Ga: 0.165 0.418 0.750 [8 per cell]
Mo: 0.113 0.079 0.590 [8 per cell]
Mo: 0.218 0.085 0.910 [8 per cell]
W: 0.056 0.414 0.413 [8 per cell]
C: 0.083 0.253 0.000 [8 per cell]
C: 0.250 0.250 0.500 [4 per cell]

[6]
This entry pairs a crystal structure of LaNdSb4 with its calculated X-ray powder pattern. Radiation: Cu Kα. Structure: a cell relaxed with GGA-PBE.

Main lines, low angle first (5° ≤ 2θ ≤ 70°):
Position (°2θ), I_rel, (hkl)
30.72, 20, 0 0 6
32.15, 100, 1 1 3
39.92, 15, 0 2 0
40.54, 15, 2 0 0
51.21, 15, 0 2 6
55.51, 13, 1 1 9
58.20, 10, 2 2 0
67.27, 13, 2 2 6
67.63, 11, 1 3 3
68.50, 11, 3 1 3

Atomic structure:
a b c (Å): 4.450 4.517 17.465
angles (deg): 90.00 90.00 90.00
Space group Amm2 (No. 38)
One atom of each set of equivalent atoms:
La: 0.000 0.000 0.000 [2 per cell]
Nd: 0.500 0.000 0.210 [2 per cell]
Sb: 0.000 0.000 0.354 [2 per cell]
Sb: 0.000 0.000 0.671 [2 per cell]
Sb: 0.500 0.000 0.542 [2 per cell]
Sb: 0.500 0.000 0.853 [2 per cell]

[7]
This entry pairs a crystal structure of Cu9As with its calculated X-ray powder pattern. Radiation: Cu Kα. Structure: a cell relaxed with GGA-PBE.

Main lines, low angle first (5° ≤ 2θ ≤ 70°):
Position (°2θ), I_rel, (hkl)
6.31, 44, 0 0 3
8.42, 15, 0 0 4
10.53, 6, 0 0 5
40.10, 4, 1 0 9
41.23, 11, 1 0 10
42.44, 61, 1 0 11
43.74, 100, 1 0 12
49.96, 22, 0 0 23
50.28, 52, 1 1 0
52.29, 4, 0 0 24

Atomic structure:
a b c (Å): 2.566 2.566 41.990
angles (deg): 90.00 90.00 90.00
Space group P4/nmm (No. 129, origin choice 2)
One atom of each set of equivalent atoms:
Cu: 0.250 0.250 0.022 [2 per cell]
Cu: 0.250 0.250 0.108 [2 per cell]
Cu: 0.250 0.250 0.194 [2 per cell]
Cu: 0.250 0.250 0.279 [2 per cell]
Cu: 0.250 0.250 0.365 [2 per cell]
Cu: 0.250 0.250 0.679 [2 per cell]
Cu: 0.250 0.250 0.764 [2 per cell]
Cu: 0.250 0.250 0.849 [2 per cell]
Cu: 0.250 0.250 0.935 [2 per cell]
As: 0.250 0.250 0.586 [2 per cell]